[1]
Structure and calculated powder diffraction line list of Nb3V3Ir2 (DFT lattice parameters and positions (GGA-PBE); Cu Kα (weighted mean of Kα1 and Kα2)).
Lines closer than 0.1° are merged.

The 6 most intense peaks (2θ from 5° to 70°), sorted by position:
2θ = 25.2°, I 615, hkl 1 1 0; 2θ = 35.9°, I 597, hkl 2 0 2; 2θ = 40.3°, I 540, hkl 1 1 3; 2θ = 44.4°, I 1000, hkl 1 2 2; 2θ = 44.4°, I 337, hkl 3 0 0; 2θ = 58.4°, I 132, hkl 2 1 4

Atomic structure:
```
data_Nb3V3Ir2
_symmetry_space_group_name_H-M 'R 3 2'
_symmetry_Int_Tables_number 155
_symmetry_space_group_name_Hall 'R 3 2"'
_cell_length_a 7.0616
_cell_length_b 7.0616
_cell_length_c 8.6752
_cell_angle_alpha 90.00
_cell_angle_beta 90.00
_cell_angle_gamma 120.00
loop_
_atom_site_label
_atom_site_type_symbol
_atom_site_fract_x
_atom_site_fract_y
_atom_site_fract_z
Nb1 Nb 0.0000 0.7470 0.0000
V1 V 0.0000 0.2472 0.5000
Ir1 Ir 0.0000 0.0000 0.2537
```

***

[2]
Structure and calculated powder diffraction line list of Ta6Co16Ge7 (DFT lattice parameters and positions (GGA-PBE); Cu Kα (weighted mean of Kα1 and Kα2)).
Lines closer than 0.1° are merged.

The 6 most intense peaks (2θ from 5° to 70°), sorted by position:
2θ = 34.4°, I 256, hkl 3 3 1; 2θ = 38.9°, I 368, hkl 4 2 2; 2θ = 41.3°, I 1000, hkl 3 3 3; 2θ = 45.2°, I 963, hkl 4 4 0; 2θ = 48.1°, I 188, hkl 6 0 0; 2θ = 62.9°, I 210, hkl 7 3 1

Atomic structure:
```
data_Ta6Co16Ge7
_symmetry_space_group_name_H-M 'F m -3 m'
_symmetry_Int_Tables_number 225
_symmetry_space_group_name_Hall '-F 4 2 3'
_cell_length_a 11.3551
_cell_length_b 11.3551
_cell_length_c 11.3551
_cell_angle_alpha 90.00
_cell_angle_beta 90.00
_cell_angle_gamma 90.00
loop_
_atom_site_label
_atom_site_type_symbol
_atom_site_fract_x
_atom_site_fract_y
_atom_site_fract_z
Ta1 Ta 0.0000 0.0000 0.2000
Co1 Co 0.1188 0.1188 0.3812
Co2 Co 0.1652 0.1652 0.1652
Ge1 Ge 0.0000 0.0000 0.5000
Ge2 Ge 0.0000 0.2500 0.2500
```

***

[3]
Structure and calculated powder diffraction line list of Rb3MnH5 (DFT lattice parameters and positions (GGA-PBE); Cu Kα (weighted mean of Kα1 and Kα2)).
Lines closer than 0.1° are merged.

The 6 most intense peaks (2θ from 5° to 70°), sorted by position:
2θ = 26.0°, I 389, hkl 2 1 1; 2θ = 26.7°, I 1000, hkl 2 0 2; 2θ = 29.6°, I 275, hkl 0 0 4; 2θ = 31.6°, I 245, hkl 2 2 0; 2θ = 33.5°, I 224, hkl 2 1 3; 2θ = 50.7°, I 240, hkl 2 0 6

Atomic structure:
```
data_Rb3MnH5
_symmetry_space_group_name_H-M 'I 4/m c m'
_symmetry_Int_Tables_number 140
_symmetry_space_group_name_Hall '-I 4 2c'
_cell_length_a 8.0072
_cell_length_b 8.0072
_cell_length_c 12.0908
_cell_angle_alpha 90.00
_cell_angle_beta 90.00
_cell_angle_gamma 90.00
loop_
_atom_site_label
_atom_site_type_symbol
_atom_site_fract_x
_atom_site_fract_y
_atom_site_fract_z
Rb1 Rb 0.0000 0.0000 0.2500
Rb2 Rb 0.1865 0.3135 0.0000
Mn1 Mn 0.0000 0.5000 0.2500
H1 H 0.0000 0.0000 0.0000
H2 H 0.1245 0.3755 0.3369
```

***

[4]
Structure and calculated powder diffraction line list of RbBi (DFT lattice parameters and positions (GGA-PBE); Cu Kα (weighted mean of Kα1 and Kα2)).
Lines closer than 0.1° are merged.

The 6 most intense peaks (2θ from 5° to 70°), sorted by position:
2θ = 18.9°, I 239, hkl 1 0 0; 2θ = 26.9°, I 657, hkl 1 1 0; 2θ = 30.0°, I 1000, hkl 1 0 1; 2θ = 38.4°, I 259, hkl 2 0 0; 2θ = 49.5°, I 505, hkl 2 1 1; 2θ = 55.1°, I 185, hkl 1 1 2

Atomic structure:
```
data_RbBi
_symmetry_space_group_name_H-M 'P 4/m m m'
_symmetry_Int_Tables_number 123
_symmetry_space_group_name_Hall '-P 4 2'
_cell_length_a 4.6853
_cell_length_b 4.6853
_cell_length_c 3.8589
_cell_angle_alpha 90.00
_cell_angle_beta 90.00
_cell_angle_gamma 90.00
loop_
_atom_site_label
_atom_site_type_symbol
_atom_site_fract_x
_atom_site_fract_y
_atom_site_fract_z
Rb1 Rb 0.0000 0.0000 0.0000
Bi1 Bi 0.5000 0.5000 0.5000
```

***

[5]
Structure and calculated powder diffraction line list of Pb (DFT lattice parameters and positions (GGA-PBE); Cu Kα (weighted mean of Kα1 and Kα2)).
Lines closer than 0.1° are merged.

The 6 most intense peaks (2θ from 5° to 70°), sorted by position:
2θ = 29.0°, I 581, hkl 1 1 2; 2θ = 29.8°, I 1000, hkl 2 1 1; 2θ = 33.9°, I 501, hkl 2 0 2; 2θ = 39.2°, I 451, hkl 3 1 0; 2θ = 45.0°, I 334, hkl 2 1 3; 2θ = 59.0°, I 281, hkl 3 3 2

Atomic structure:
```
data_Pb
_symmetry_space_group_name_H-M 'P 42/m b c'
_symmetry_Int_Tables_number 135
_symmetry_space_group_name_Hall '-P 4c 2ab'
_cell_length_a 7.2733
_cell_length_b 7.2733
_cell_length_c 7.6911
_cell_angle_alpha 90.00
_cell_angle_beta 90.00
_cell_angle_gamma 90.00
loop_
_atom_site_label
_atom_site_type_symbol
_atom_site_fract_x
_atom_site_fract_y
_atom_site_fract_z
Pb1 Pb 0.0000 0.5000 0.2500
Pb2 Pb 0.1574 0.1588 0.0000
```

***

[6]
Structure and calculated powder diffraction line list of UO2F2 (DFT lattice parameters and positions (GGA-PBE); Cu Kα (weighted mean of Kα1 and Kα2)).
Lines closer than 0.1° are merged.

The 6 most intense peaks (2θ from 5° to 70°), sorted by position:
2θ = 21.3°, I 831, hkl 2 0 0; 2θ = 22.3°, I 764, hkl 0 0 1; 2θ = 27.7°, I 1000, hkl 1 1 0; 2θ = 29.5°, I 408, hkl 2 0 -1; 2θ = 35.2°, I 378, hkl 1 1 -1; 2θ = 46.0°, I 410, hkl 3 1 -1

Atomic structure:
```
data_UO2F2
_symmetry_space_group_name_H-M 'C 1 2/m 1'
_symmetry_Int_Tables_number 12
_cell_length_a 8.3970
_cell_length_b 3.4918
_cell_length_c 3.9967
_cell_angle_alpha 90.00
_cell_angle_beta 95.32
_cell_angle_gamma 90.00
loop_
_symmetry_equiv_pos_as_xyz
'x,y,z'
'-x,-y,-z'
'-x,y,-z'
'x,-y,z'
'x+1/2,y+1/2,z'
'-x+1/2,-y+1/2,-z'
'-x+1/2,y+1/2,-z'
'x+1/2,-y+1/2,z'
loop_
_atom_site_label
_atom_site_type_symbol
_atom_site_fract_x
_atom_site_fract_y
_atom_site_fract_z
U1 U 0.0000 0.0000 0.0000
O1 O 0.1331 0.5000 0.9500
F1 F 0.1380 0.0000 0.4781
```

***

[7]
Structure and calculated powder diffraction line list of NdLuTl2 (DFT lattice parameters and positions (GGA-PBE); Cu Kα (weighted mean of Kα1 and Kα2)).
Lines closer than 0.1° are merged.

The 6 most intense peaks (2θ from 5° to 70°), sorted by position:
2θ = 23.2°, I 15, hkl 2 0 0; 2θ = 33.1°, I 1000, hkl 2 2 0; 2θ = 47.5°, I 185, hkl 4 0 0; 2θ = 53.5°, I 7, hkl 4 2 0; 2θ = 59.1°, I 387, hkl 4 2 2; 2θ = 69.4°, I 120, hkl 4 4 0

Atomic structure:
```
data_NdLuTl2
_symmetry_space_group_name_H-M 'F m -3 m'
_symmetry_Int_Tables_number 225
_symmetry_space_group_name_Hall '-F 4 2 3'
_cell_length_a 7.6628
_cell_length_b 7.6628
_cell_length_c 7.6628
_cell_angle_alpha 90.00
_cell_angle_beta 90.00
_cell_angle_gamma 90.00
loop_
_atom_site_label
_atom_site_type_symbol
_atom_site_fract_x
_atom_site_fract_y
_atom_site_fract_z
Nd1 Nd 0.0000 0.0000 0.0000
Lu1 Lu 0.0000 0.0000 0.5000
Tl1 Tl 0.2500 0.2500 0.2500
```